Structure and calculated powder X-ray diffraction pattern of SrPrNiBiO6 (DFT lattice parameters and positions (GGA+U); Cu Kα (weighted mean of Kα1 and Kα2)).
Intensities are scaled so that the largest is 100.

Cell and atoms:
abc: 8.188 8.188 8.188
angles: 90.00 90.00 90.00
Space group F-43m (No. 216)
Asymmetric unit:
Sr 0.000 0.000 0.000 [4 per cell]
Pr 0.000 0.000 0.500 [4 per cell]
Ni 0.250 0.250 0.750 [4 per cell]
Bi 0.250 0.250 0.250 [4 per cell]
O 0.005 0.250 0.750 [24 per cell]

Principal peaks in the range 5 to 70 degrees two-theta, sorted by position:
- 18.77 deg, I = 21
- 30.89 deg, I = 100
- 36.39 deg, I = 14
- 44.25 deg, I = 30
- 48.46 deg, I = 7
- 54.93 deg, I = 41
- 64.36 deg, I = 19
- 67.70 deg, I = 5

Structure and calculated powder X-ray diffraction pattern of Sr5Ni2BiO10 (DFT lattice parameters and positions (GGA+U); Cu Kα (weighted mean of Kα1 and Kα2)).
Intensities are scaled so that the largest is 100.

Cell and atoms:
abc: 5.345 5.345 18.126
angles: 90.00 90.00 90.00
Space group I4/mmm (No. 139)
Asymmetric unit:
Sr 0.000 0.000 0.000 [2 per cell]
Sr 0.000 0.500 0.151 [8 per cell]
Ni 0.000 0.000 0.244 [4 per cell]
Bi 0.000 0.000 0.500 [2 per cell]
O 0.000 0.000 0.133 [4 per cell]
O 0.000 0.000 0.379 [4 per cell]
O 0.000 0.500 0.000 [4 per cell]
O 0.250 0.250 0.250 [8 per cell]

Principal peaks in the range 5 to 70 degrees two-theta, sorted by position:
- 25.54 deg, I = 24
- 30.81 deg, I = 100
- 33.53 deg, I = 72
- 39.78 deg, I = 16
- 45.31 deg, I = 29
- 48.15 deg, I = 34
- 52.99 deg, I = 18
- 58.26 deg, I = 35

Structure and calculated powder X-ray diffraction pattern of ZnNiBiO5 (DFT lattice parameters and positions (GGA+U); Cu Kα (weighted mean of Kα1 and Kα2)).
Intensities are scaled so that the largest is 100.

Cell and atoms:
abc: 5.362 10.459 8.368
angles: 90.00 110.28 90.00
Space group P2_1/c (No. 14)
Asymmetric unit:
Zn 0.030 0.091 0.173 [4 per cell]
Ni 0.372 0.615 0.057 [4 per cell]
Bi 0.477 0.104 0.843 [4 per cell]
O 0.194 0.531 0.182 [4 per cell]
O 0.207 0.720 0.493 [4 per cell]
O 0.253 0.044 0.005 [4 per cell]
O 0.321 0.207 0.310 [4 per cell]
O 0.346 0.544 0.842 [4 per cell]

Principal peaks in the range 5 to 70 degrees two-theta, sorted by position:
- 14.11 deg, I = 38
- 17.63 deg, I = 75
- 24.34 deg, I = 37
- 24.94 deg, I = 96
- 29.61 deg, I = 100
- 34.56 deg, I = 32
- 34.94 deg, I = 51
- 42.58 deg, I = 30

Structure and calculated powder X-ray diffraction pattern of V3Bi2P6O24 (DFT lattice parameters and positions (GGA+U); Cu Kα (weighted mean of Kα1 and Kα2)).
Intensities are scaled so that the largest is 100.

Cell and atoms:
abc: 8.7293 8.7293 21.7086
angles: 90.00 90.00 120.00
Space group R3 (No. 146, hexagonal axes)
Asymmetric unit:
V 0.0000 0.0000 0.0000 [3 per cell]
V 0.0000 0.0000 0.2104 [3 per cell]
V 0.0000 0.0000 0.6954 [3 per cell]
Bi 0.0000 0.0000 0.3739 [3 per cell]
Bi 0.0000 0.0000 0.8504 [3 per cell]
P 0.0028 0.2970 0.5964 [9 per cell]
P 0.0584 0.6805 0.7695 [9 per cell]
O 0.0052 0.1775 0.9424 [9 per cell]
O 0.0287 0.1888 0.2680 [9 per cell]
O 0.0375 0.8492 0.7669 [9 per cell]
O 0.0420 0.2406 0.5367 [9 per cell]
O 0.1509 0.4728 0.3223 [9 per cell]
O 0.1535 0.6984 0.1009 [9 per cell]
O 0.1604 0.6861 0.7110 [9 per cell]
O 0.1606 0.6941 0.8289 [9 per cell]

Principal peaks in the range 5 to 70 degrees two-theta, sorted by position:
- 14.28 deg, I = 78
- 20.35 deg, I = 100
- 23.81 deg, I = 44
- 24.94 deg, I = 49
- 32.13 deg, I = 82
- 32.40 deg, I = 43
- 35.63 deg, I = 36
- 48.73 deg, I = 30

Structure and calculated powder X-ray diffraction pattern of VBiPb2O6 (DFT lattice parameters and positions (GGA+U); Cu Kα (weighted mean of Kα1 and Kα2)).
Intensities are scaled so that the largest is 100.

Cell and atoms:
abc: 12.390 5.802 10.091
angles: 90.00 90.00 90.00
Space group Pnma (No. 62)
Asymmetric unit:
V 0.207 0.250 0.027 [4 per cell]
Bi 0.089 0.250 0.501 [4 per cell]
Pb 0.099 0.750 0.203 [4 per cell]
Pb 0.126 0.750 0.762 [4 per cell]
O 0.012 0.508 0.636 [8 per cell]
O 0.074 0.250 0.993 [4 per cell]
O 0.210 0.750 0.389 [4 per cell]
O 0.246 0.012 0.129 [8 per cell]

Principal peaks in the range 5 to 70 degrees two-theta, sorted by position:
- 11.31 deg, I = 12
- 27.50 deg, I = 100
- 27.95 deg, I = 24
- 30.82 deg, I = 20
- 41.76 deg, I = 10
- 42.70 deg, I = 12
- 47.77 deg, I = 11
- 52.84 deg, I = 24

Structure and calculated powder X-ray diffraction pattern of VBiPbO5 (DFT lattice parameters and positions (GGA+U); Cu Kα (weighted mean of Kα1 and Kα2)).
Intensities are scaled so that the largest is 100.

Cell and atoms:
abc: 13.424 5.656 7.284
angles: 90.00 111.46 90.00
Space group C2/m (No. 12)
Asymmetric unit:
V 0.166 0.000 0.148 [4 per cell]
Bi 0.013 0.500 0.750 [4 per cell]
Pb 0.158 0.000 0.612 [4 per cell]
O 0.000 0.263 0.500 [4 per cell]
O 0.100 0.000 0.893 [4 per cell]
O 0.134 0.249 0.259 [8 per cell]
O 0.196 0.500 0.786 [4 per cell]

Principal peaks in the range 5 to 70 degrees two-theta, sorted by position:
- 26.58 deg, I = 100
- 29.27 deg, I = 74
- 31.04 deg, I = 22
- 31.64 deg, I = 32
- 34.41 deg, I = 21
- 44.91 deg, I = 26
- 47.44 deg, I = 21
- 53.34 deg, I = 20

Structure and calculated powder X-ray diffraction pattern of VBiPbO5 (DFT lattice parameters and positions (GGA+U); Cu Kα (weighted mean of Kα1 and Kα2)).
Intensities are scaled so that the largest is 100.

Cell and atoms:
abc: 5.831 7.318 7.329
angles: 106.29 97.95 112.39
Space group P1 (No. 1)
Asymmetric unit:
V 0.000 0.000 0.000 [1 per cell]
V 0.313 0.701 0.304 [1 per cell]
Bi 0.566 0.318 0.398 [1 per cell]
Bi 0.745 0.384 0.903 [1 per cell]
Pb 0.339 0.664 0.764 [1 per cell]
Pb 0.970 0.041 0.537 [1 per cell]
O 0.057 0.662 0.401 [1 per cell]
O 0.105 0.156 0.255 [1 per cell]
O 0.201 0.553 0.046 [1 per cell]
O 0.264 0.031 0.913 [1 per cell]
O 0.413 0.331 0.652 [1 per cell]
O 0.497 0.971 0.351 [1 per cell]
O 0.524 0.634 0.437 [1 per cell]
O 0.801 0.070 0.857 [1 per cell]
O 0.809 0.732 0.960 [1 per cell]
O 0.898 0.373 0.649 [1 per cell]

Principal peaks in the range 5 to 70 degrees two-theta, sorted by position:
- 13.09 deg, I = 26
- 21.01 deg, I = 28
- 24.95 deg, I = 28
- 25.80 deg, I = 76
- 26.66 deg, I = 55
- 27.23 deg, I = 58
- 30.99 deg, I = 100
- 34.37 deg, I = 25